Structure and theoretical powder diffractogram of BeTlMo2O8 (a cell relaxed with GGA+U; a wavelength of 1.5418 Å).
Intensities are scaled so that the largest is 1000.

Cell and atoms:
```
12
Lattice="2.5458 1.4698 8.5475 -2.5458 1.4698 8.5475 0.0000 -2.9397 8.5475" Properties=species:S:1:pos:R:3 pbc="T T T"
Be 0.0000 0.0000 0.0000
Tl 0.0000 0.0000 12.8212
Mo 0.0000 0.0000 6.9311
Mo 0.0000 0.0000 18.7112
O -0.8465 -1.7168 9.6282
O 0.0000 0.0000 5.1324
O -1.9100 -0.1253 16.0142
O -1.0636 1.5915 9.6282
O 1.0636 -1.5915 16.0142
O 1.9100 0.1253 9.6282
O 0.0000 0.0000 20.5099
O 0.8465 1.7168 16.0142
```

Largest 8 diffraction maxima, by angle, 2θ = 15–90°:
2θ (°), intensity
20.44, 322
24.50, 1000
26.66, 380
31.40, 206
34.60, 178
35.25, 362
47.92, 226
57.10, 173